The following is a computed X-ray powder pattern of Sr2La2MnCuO8. It was derived from a GGA+U-relaxed structure, using a wavelength of 1.5418 Å.

Principal peaks in the range 2θ from 5° to 70°, by angle:
- 5.99°, I = 28, hkl 0 0 1
- 31.12°, I = 100, hkl 1 -2 1
- 31.32°, I = 34, hkl 0 1 -5
- 32.75°, I = 94, hkl 1 0 3
- 42.20°, I = 35, hkl 0 3 -3
- 46.85°, I = 25, hkl -2 1 1
- 47.14°, I = 24, hkl 0 1 7
- 57.43°, I = 30, hkl 2 -2 4

Cell and atoms:
```
Sr2La2MnCuO8
1.0
3.878 0.000 0.000
-1.928 6.717 0.000
-1.939 -2.197 14.746
Sr La Mn Cu O
4 4 2 2 16
direct
0.109 0.250 0.465
0.356 0.503 0.715
0.644 0.497 0.285
0.891 0.750 0.535
0.149 0.013 0.786
0.404 0.256 0.038
0.596 0.744 0.962
0.851 0.987 0.214
0.374 0.870 0.375
0.626 0.130 0.625
0.125 0.623 0.125
0.875 0.377 0.875
0.000 0.500 0.000
0.023 0.706 0.840
0.124 0.123 0.628
0.251 0.751 0.248
0.257 0.597 0.413
0.270 0.938 0.079
0.372 0.373 0.878
0.488 0.144 0.328
0.500 0.000 0.500
0.512 0.856 0.672
0.628 0.627 0.122
0.730 0.062 0.921
0.743 0.403 0.587
0.749 0.249 0.752
0.876 0.877 0.372
0.977 0.294 0.160
```